1.
Diffraction record for TlC4. The powder diffractogram is calculated, not measured: it uses the GGA-PBE geometry in Alexandria and Cu Kα X-rays.
Intensities are scaled so that the largest is 100.

Atomic structure:
```
TlC4
1.0
-1.515 1.515 6.731
1.515 -1.515 6.731
1.515 1.515 -6.731
Tl C
1 4
direct
0.000 0.000 0.000
0.205 0.205 0.000
0.250 0.750 0.500
0.750 0.250 0.500
0.795 0.795 0.000
```

Peak list (10 most intense, 10° ≤ 2θ ≤ 90°, in order of rising 2θ)
- 13.15 deg, I = 90
- 26.49 deg, I = 45
- 30.24 deg, I = 100
- 35.76 deg, I = 51
- 42.18 deg, I = 19
- 44.37 deg, I = 34
- 45.05 deg, I = 38
- 50.50 deg, I = 21
- 59.68 deg, I = 17
- 69.75 deg, I = 19

***

2.
Diffraction record for TlC2. The powder diffractogram is calculated, not measured: it uses the GGA-PBE geometry in Alexandria and Cu Kα X-rays.
Intensities are scaled so that the largest is 100.

Atomic structure:
```
TlC2
1.0
-1.312 3.473 5.303
1.312 -3.473 5.303
1.312 3.473 -5.303
Tl C
2 4
direct
0.155 0.155 0.000
0.845 0.845 0.000
0.296 0.500 0.796
0.394 0.000 0.394
0.606 0.000 0.606
0.704 0.500 0.204
```

Peak list (10 most intense, 10° ≤ 2θ ≤ 90°, in order of rising 2θ)
- 15.25 deg, I = 94
- 25.65 deg, I = 55
- 28.33 deg, I = 100
- 36.60 deg, I = 45
- 42.92 deg, I = 47
- 44.08 deg, I = 21
- 46.91 deg, I = 20
- 50.67 deg, I = 54
- 52.72 deg, I = 25
- 77.80 deg, I = 21

***

3.
Diffraction record for Tl3C. The powder diffractogram is calculated, not measured: it uses the GGA-PBE geometry in Alexandria and Cu Kα X-rays.
Intensities are scaled so that the largest is 100.

Atomic structure:
```
Tl3C
1.0
5.042 -9.072 0.000
5.042 9.072 0.000
0.000 0.000 2.812
Tl C
6 2
direct
0.166 0.491 0.750
0.168 0.832 0.750
0.491 0.166 0.250
0.509 0.834 0.750
0.832 0.168 0.250
0.834 0.509 0.250
0.499 0.501 0.750
0.501 0.499 0.250
```

Peak list (10 most intense, 10° ≤ 2θ ≤ 90°, in order of rising 2θ)
- 19.57 deg, I = 39
- 26.98 deg, I = 32
- 29.54 deg, I = 54
- 30.42 deg, I = 100
- 33.44 deg, I = 55
- 37.96 deg, I = 41
- 41.61 deg, I = 28
- 41.83 deg, I = 29
- 48.62 deg, I = 16
- 52.96 deg, I = 21

***

4.
Diffraction record for Tm7Tl2C2. The powder diffractogram is calculated, not measured: it uses the GGA-PBE geometry in Alexandria and Cu Kα X-rays.
Intensities are scaled so that the largest is 100.

Atomic structure:
```
Tm7Tl2C2
1.0
-1.723 7.295 5.168
1.723 -7.295 5.168
1.723 7.295 -5.168
Tm Tl C
7 2 2
direct
0.000 0.000 0.000
0.028 0.683 0.344
0.072 0.380 0.692
0.339 0.683 0.656
0.426 0.567 0.859
0.688 0.380 0.308
0.708 0.567 0.141
0.330 0.330 0.000
0.739 0.239 0.500
0.285 0.051 0.234
0.817 0.051 0.766
```

Peak list (10 most intense, 10° ≤ 2θ ≤ 90°, in order of rising 2θ)
- 27.28 deg, I = 21
- 29.97 deg, I = 38
- 31.83 deg, I = 100
- 36.37 deg, I = 13
- 36.93 deg, I = 85
- 44.26 deg, I = 22
- 53.18 deg, I = 24
- 54.42 deg, I = 13
- 63.33 deg, I = 49
- 66.50 deg, I = 12

***

5.
Diffraction record for Zr6Tl2C. The powder diffractogram is calculated, not measured: it uses the GGA-PBE geometry in Alexandria and Cu Kα X-rays.
Intensities are scaled so that the largest is 100.

Atomic structure:
```
Zr6Tl2C
1.0
-3.234 3.234 4.506
3.234 -3.234 4.506
3.234 3.234 -4.506
Zr Tl C
6 2 1
direct
0.245 0.245 0.000
0.249 0.249 0.498
0.249 0.751 0.000
0.751 0.249 0.000
0.751 0.751 0.502
0.755 0.755 0.000
0.250 0.750 0.500
0.750 0.250 0.500
0.500 0.500 0.000
```

Peak list (10 most intense, 10° ≤ 2θ ≤ 90°, in order of rising 2θ)
- 19.41 deg, I = 8
- 27.79 deg, I = 9
- 34.13 deg, I = 100
- 39.40 deg, I = 35
- 40.02 deg, I = 17
- 56.95 deg, I = 12
- 57.42 deg, I = 23
- 68.09 deg, I = 26
- 68.93 deg, I = 13
- 71.87 deg, I = 12

***

6.
Diffraction record for Tm2C3. The powder diffractogram is calculated, not measured: it uses the GGA-PBE geometry in Alexandria and Cu Kα X-rays.
Intensities are scaled so that the largest is 100.

Atomic structure:
```
Tm2C3
1.0
-4.045 4.045 4.045
4.045 -4.045 4.045
4.045 4.045 -4.045
Tm C
8 12
direct
0.000 0.100 0.500
0.000 0.600 0.500
0.100 0.500 0.000
0.400 0.400 0.400
0.500 0.000 0.100
0.500 0.000 0.600
0.600 0.500 0.000
0.900 0.900 0.900
0.042 0.792 0.250
0.208 0.958 0.250
0.250 0.042 0.792
0.250 0.208 0.958
0.292 0.542 0.750
0.458 0.708 0.750
0.542 0.750 0.292
0.708 0.750 0.458
0.750 0.292 0.542
0.750 0.458 0.708
0.792 0.250 0.042
0.958 0.250 0.208
```

Peak list (10 most intense, 10° ≤ 2θ ≤ 90°, in order of rising 2θ)
- 27.00 deg, I = 47
- 31.28 deg, I = 100
- 35.08 deg, I = 95
- 41.78 deg, I = 48
- 53.10 deg, I = 28
- 55.66 deg, I = 15
- 58.15 deg, I = 63
- 62.93 deg, I = 28
- 76.29 deg, I = 19
- 88.91 deg, I = 21

***

7.
Diffraction record for TmZr5C6. The powder diffractogram is calculated, not measured: it uses the GGA-PBE geometry in Alexandria and Cu Kα X-rays.
Intensities are scaled so that the largest is 100.

Atomic structure:
```
TmZr5C6
1.0
2.913 -5.050 0.000
2.913 5.050 0.000
-1.941 0.000 5.496
Tm Zr C
1 5 6
direct
0.000 0.000 0.000
0.166 0.834 0.500
0.333 0.667 0.000
0.500 0.500 0.500
0.667 0.333 0.000
0.834 0.166 0.500
0.085 0.425 0.254
0.255 0.255 0.746
0.425 0.085 0.254
0.575 0.915 0.746
0.745 0.745 0.254
0.915 0.575 0.746
```

Peak list (10 most intense, 10° ≤ 2θ ≤ 90°, in order of rising 2θ)
- 18.38 deg, I = 3
- 32.59 deg, I = 100
- 37.81 deg, I = 75
- 54.54 deg, I = 49
- 64.98 deg, I = 28
- 65.01 deg, I = 14
- 68.27 deg, I = 16
- 80.77 deg, I = 8
- 89.79 deg, I = 3
- 89.84 deg, I = 15

***

What did the first record say?
Diffraction record for TlC4. The powder diffractogram is calculated, not measured: it uses the GGA-PBE geometry in Alexandria and Cu Kα X-rays.
Intensities are scaled so that the largest is 100.

Atomic structure:
```
TlC4
1.0
-1.515 1.515 6.731
1.515 -1.515 6.731
1.515 1.515 -6.731
Tl C
1 4
direct
0.000 0.000 0.000
0.205 0.205 0.000
0.250 0.750 0.500
0.750 0.250 0.500
0.795 0.795 0.000
```

Peak list (10 most intense, 10° ≤ 2θ ≤ 90°, in order of rising 2θ)
- 13.15 deg, I = 90
- 26.49 deg, I = 45
- 30.24 deg, I = 100
- 35.76 deg, I = 51
- 42.18 deg, I = 19
- 44.37 deg, I = 34
- 45.05 deg, I = 38
- 50.50 deg, I = 21
- 59.68 deg, I = 17
- 69.75 deg, I = 19